Record 1
The following is a theoretical XRD peak list of NbGa5Ru6. It was derived from a DFT-relaxed cell (GGA-PBE, Alexandria), using Cu Kα (λ = 1.5418 Å).

Principal peaks in the range 2θ from 10° to 90°, most intense first:
- 2θ 41.81, d = 2.161 Å, intensity 1000
- 2θ 41.70, d = 2.166 Å, intensity 253
- 2θ 41.95, d = 2.154 Å, intensity 246
- 2θ 76.21, d = 1.249 Å, intensity 243
- 2θ 60.62, d = 1.528 Å, intensity 242
- 2θ 76.53, d = 1.245 Å, intensity 156
- 2θ 76.41, d = 1.246 Å, intensity 79
- 2θ 29.23, d = 3.055 Å, intensity 42
- 2θ 68.68, d = 1.367 Å, intensity 9
- 2θ 51.72, d = 1.767 Å, intensity 5

Atomic structure:
Unit cell a=6.815 b=6.815 c=6.114 alpha=90.00 beta=90.00 gamma=142.93
Fractional positions:
Nb  0.000  0.000  0.000
Ga  0.000  0.000  0.500
Ga  0.335  0.665  0.500
Ga  0.337  0.663  0.000
Ga  0.663  0.337  0.000
Ga  0.665  0.335  0.500
Ru  0.171  0.829  0.252
Ru  0.171  0.829  0.748
Ru  0.500  0.500  0.259
Ru  0.500  0.500  0.741
Ru  0.829  0.171  0.252
Ru  0.829  0.171  0.748

=====

Record 2
The following is a theoretical XRD peak list of Sc2NbGa2Ru5. It was derived from a DFT-relaxed cell (GGA-PBE, Alexandria), using Cu Kα (λ = 1.5418 Å).

Principal peaks in the range 2θ from 10° to 90°, most intense first:
- 2θ 39.52, d = 2.280 Å, intensity 1000
- 2θ 42.71, d = 2.117 Å, intensity 365
- 2θ 37.56, d = 2.395 Å, intensity 314
- 2θ 20.11, d = 4.416 Å, intensity 247
- 2θ 40.87, d = 2.208 Å, intensity 176
- 2θ 55.04, d = 1.669 Å, intensity 159
- 2θ 37.28, d = 2.412 Å, intensity 150
- 2θ 46.68, d = 1.946 Å, intensity 141
- 2θ 17.97, d = 4.937 Å, intensity 118
- 2θ 73.52, d = 1.288 Å, intensity 113

Atomic structure:
Unit cell a=9.874 b=9.874 c=3.337 alpha=90.00 beta=90.00 gamma=90.00
Fractional positions:
Sc  0.170  0.330  0.000
Sc  0.330  0.830  0.000
Sc  0.670  0.170  0.000
Sc  0.830  0.670  0.000
Nb  0.000  0.000  0.000
Nb  0.500  0.500  0.000
Ga  0.129  0.629  0.000
Ga  0.371  0.129  0.000
Ga  0.629  0.871  0.000
Ga  0.871  0.371  0.000
Ru  0.000  0.500  0.500
Ru  0.069  0.802  0.500
Ru  0.198  0.069  0.500
Ru  0.302  0.569  0.500
Ru  0.431  0.302  0.500
Ru  0.500  0.000  0.500
Ru  0.569  0.698  0.500
Ru  0.698  0.431  0.500
Ru  0.802  0.931  0.500
Ru  0.931  0.198  0.500

=====

Record 3
The following is a theoretical XRD peak list of NbGaTcRu. It was derived from a DFT-relaxed cell (GGA-PBE, Alexandria), using Cu Kα (λ = 1.5418 Å).

Principal peaks in the range 2θ from 10° to 90°, most intense first:
- 2θ 41.18, d = 2.192 Å, intensity 1000
- 2θ 40.23, d = 2.242 Å, intensity 538
- 2θ 73.76, d = 1.285 Å, intensity 341
- 2θ 58.20, d = 1.585 Å, intensity 177
- 2θ 75.68, d = 1.257 Å, intensity 155
- 2θ 89.38, d = 1.096 Å, intensity 104
- 2θ 61.07, d = 1.517 Å, intensity 74
- 2θ 86.91, d = 1.121 Å, intensity 56
- 2θ 31.84, d = 2.810 Å, intensity 16
- 2θ 28.15, d = 3.170 Å, intensity 13

Atomic structure:
Unit cell a=3.170 b=3.170 c=6.070 alpha=90.00 beta=90.00 gamma=90.00
Fractional positions:
Nb  0.000  0.000  0.000
Ga  0.000  0.000  0.497
Tc  0.500  0.500  0.253
Ru  0.500  0.500  0.737

=====

Record 4
The following is a theoretical XRD peak list of TmNbGaRu. It was derived from a DFT-relaxed cell (GGA-PBE, Alexandria), using Cu Kα (λ = 1.5418 Å).

Principal peaks in the range 2θ from 10° to 90°, most intense first:
- 2θ 38.43, d = 2.343 Å, intensity 1000
- 2θ 69.50, d = 1.353 Å, intensity 341
- 2θ 55.47, d = 1.657 Å, intensity 170
- 2θ 82.32, d = 1.171 Å, intensity 107
- 2θ 23.25, d = 3.826 Å, intensity 74
- 2θ 26.91, d = 3.313 Å, intensity 49
- 2θ 45.40, d = 1.998 Å, intensity 41
- 2θ 62.71, d = 1.482 Å, intensity 20
- 2θ 60.95, d = 1.520 Å, intensity 18
- 2θ 47.54, d = 1.913 Å, intensity 14

Atomic structure:
Unit cell a=4.685 b=4.685 c=4.685 alpha=60.00 beta=60.00 gamma=60.00
Fractional positions:
Tm  0.000  0.000  0.000
Nb  0.500  0.500  0.500
Ga  0.750  0.750  0.750
Ru  0.250  0.250  0.250